Simulated XRD peak list of Ti3MnSb2P6O24 for Cu Kα (weighted mean of Kα1 and Kα2), from DFT lattice parameters and positions (PBE+U).
Intensities are scaled so that the largest is 100.

Main lines, by angle (10 to 90 degrees two-theta):
| two_theta | d_spacing | I (rel.) |
| --- | --- | --- |
| 20.35 | 4.365 | 89.5 |
| 23.62 | 3.767 | 68.6 |
| 24.86 | 3.581 | 26.3 |
| 31.55 | 2.836 | 100.0 |
| 35.63 | 2.520 | 37.2 |
| 48.32 | 1.884 | 34.1 |

Structure:
```
Ti3MnSb2P6O24
1.0
4.365 2.520 7.460
-4.365 2.520 7.460
0.000 -5.040 7.460
Ti Mn Sb P O
3 1 2 6 24
direct
0.000 0.000 0.000
0.199 0.199 0.199
0.698 0.698 0.698
0.502 0.502 0.502
0.360 0.360 0.360
0.863 0.863 0.863
0.092 0.803 0.389
0.297 0.596 0.888
0.389 0.092 0.803
0.596 0.888 0.297
0.803 0.389 0.092
0.888 0.297 0.596
0.039 0.847 0.229
0.069 0.286 0.423
0.100 0.761 0.937
0.145 0.958 0.352
0.229 0.039 0.847
0.266 0.615 0.392
0.286 0.423 0.069
0.300 0.578 0.729
0.352 0.145 0.958
0.392 0.266 0.615
0.423 0.069 0.286
0.456 0.650 0.844
0.576 0.931 0.770
0.578 0.729 0.300
0.615 0.392 0.266
0.650 0.844 0.456
0.729 0.300 0.578
0.761 0.937 0.100
0.770 0.576 0.931
0.844 0.456 0.650
0.847 0.229 0.039
0.931 0.770 0.576
0.937 0.100 0.761
0.958 0.352 0.145
```